For SiH6N2F6, the GGA-PBE geometry in the Materials Project gives the computed powder X-ray diffraction pattern in this record (Cu Ka).

Structural model:
Unit cell a=7.646 b=8.634 c=7.676 alpha=90.00 beta=90.00 gamma=90.00
Fractional positions:
Si 0.000 0.000 0.000
Si 0.000 0.500 0.500
Si 0.500 0.000 0.500
Si 0.500 0.500 0.000
H 0.003 0.135 0.389
H 0.003 0.365 0.889
H 0.081 0.124 0.597
H 0.081 0.376 0.097
H 0.140 0.602 0.940
H 0.140 0.898 0.440
H 0.360 0.102 0.940
H 0.360 0.398 0.440
H 0.419 0.624 0.597
H 0.419 0.876 0.097
H 0.497 0.635 0.389
H 0.497 0.865 0.889
H 0.503 0.135 0.111
H 0.503 0.365 0.611
H 0.581 0.124 0.903
H 0.581 0.376 0.403
H 0.640 0.602 0.560
H 0.640 0.898 0.060
H 0.860 0.102 0.560
H 0.860 0.398 0.060
H 0.919 0.624 0.903
H 0.919 0.876 0.403
H 0.997 0.635 0.111
H 0.997 0.865 0.611
N 0.013 0.582 0.989
N 0.013 0.918 0.489
N 0.487 0.082 0.989
N 0.487 0.418 0.489
N 0.513 0.582 0.511
N 0.513 0.918 0.011
N 0.987 0.082 0.511
N 0.987 0.418 0.011
F 0.059 0.121 0.170
F 0.059 0.379 0.670
F 0.147 0.095 0.867
F 0.147 0.405 0.367
F 0.158 0.628 0.560
F 0.158 0.872 0.060
F 0.342 0.128 0.560
F 0.342 0.372 0.060
F 0.353 0.595 0.867
F 0.353 0.905 0.367
F 0.441 0.621 0.170
F 0.441 0.879 0.670
F 0.559 0.121 0.330
F 0.559 0.379 0.830
F 0.647 0.095 0.633
F 0.647 0.405 0.133
F 0.658 0.628 0.940
F 0.658 0.872 0.440
F 0.842 0.128 0.940
F 0.842 0.372 0.440
F 0.853 0.595 0.633
F 0.853 0.905 0.133
F 0.941 0.621 0.330
F 0.941 0.879 0.830

The 6 most intense peaks (2θ from 10° to 90°), by intensity:
| Position (°2θ) | I_rel | hkl |
| --- | --- | --- |
| 19.34 | 100 | 1 1 1 |
| 23.22 | 92 | 0 0 2 |
| 20.57 | 52 | 0 2 0 |
| 31.22 | 30 | 2 2 0 |
| 66.50 | 26 | 1 5 3 |
| 33.41 | 26 | 2 2 1 |